Starting from a DFT-relaxed cell (GGA+U, Alexandria), the PXRD pattern of Li7Co5O12 was computed for Cu Kα (λ = 1.5418 Å).

Principal peaks in the range 10 to 80 degrees two-theta, most intense first:
4.772 Å, 2θ 18.6, rel. 100, (0 1 1); 2.026 Å, 2θ 44.7, rel. 51, (1 3 0); 2.069 Å, 2θ 43.8, rel. 28, (1 0 3); 2.432 Å, 2θ 37.0, rel. 24, (1 2 -1); 1.441 Å, 2θ 64.7, rel. 14, (3 -1 2); 1.454 Å, 2θ 64.0, rel. 14, (2 3 3); 2.478 Å, 2θ 36.3, rel. 14, (1 -1 2); 1.570 Å, 2θ 58.8, rel. 10, (-2 2 2); 1.877 Å, 2θ 48.5, rel. 8, (2 2 2); 2.341 Å, 2θ 38.5, rel. 7, (1 1 -2)

Cell and atoms:
```
24
Lattice="4.946 0.000 0.000 0.780 6.398 0.000 0.941 0.641 6.446" Properties=species:S:1:pos:R:3 pbc="T T T"
Li 0.000 0.000 0.000
Li 0.846 4.492 2.202
Li 0.950 2.668 4.309
Li 2.537 4.363 5.881
Li 3.200 5.455 1.026
Li 3.328 3.587 3.278
Li 3.395 1.668 5.389
Co 1.651 1.794 1.652
Co 2.518 6.266 3.791
Co 4.085 2.781 0.515
Co 4.979 5.296 4.852
Co 4.191 0.871 2.708
O 1.639 2.567 6.412
O 1.626 4.591 4.072
O 1.710 6.421 2.004
O 2.476 1.642 3.406
O 3.441 6.170 5.475
O 2.565 3.470 1.326
O 3.260 1.041 0.877
O 4.152 5.491 3.093
O 4.281 3.593 5.095
O 4.770 4.511 0.175
O 5.065 0.598 4.546
O 5.030 2.584 2.434
```